For EuMnNbSnO6, a cell relaxed with GGA+U gives the theoretical powder XRD pattern in this record (Cu Kα (weighted mean of Kα1 and Kα2)).
Kinematic intensities with the Lorentz-polarization factor, no thermal factor.

Principal peaks in the range 15 to 90 degrees two-theta, by angle:
(1 1 1), 2θ = 19.01°, intensity 4; (2 0 0), 2θ = 21.98°, intensity 5; (2 2 0), 2θ = 31.29°, intensity 100; (2 2 2), 2θ = 38.57°, intensity 12; (4 0 0), 2θ = 44.83°, intensity 32; (4 2 2), 2θ = 55.68°, intensity 40; (4 4 0), 2θ = 65.27°, intensity 20; (6 2 0), 2θ = 74.16°, intensity 17; (6 2 2), 2θ = 78.45°, intensity 4; (4 4 4), 2θ = 82.67°, intensity 7

Crystal structure
Cell: 8.087 8.087 8.087 Å, 90.00 90.00 90.00°
Space group F-43m (No. 216)
One atom of each set of equivalent atoms:
Eu (0.000, 0.000, 0.000) (multiplicity 4)
Mn (0.250, 0.250, 0.750) (multiplicity 4)
Nb (0.250, 0.250, 0.250) (multiplicity 4)
Sn (0.000, 0.000, 0.500) (multiplicity 4)
O (0.002, 0.250, 0.250) (multiplicity 24)